# 1
This entry pairs a crystal structure of Pm2Nd5DyTh with its simulated X-ray powder pattern. Radiation: Cu Ka. Structure: the PBE geometry in Alexandria.
Neutral-atom scattering factors, no anomalous dispersion.

The 10 most intense peaks (2θ from 5° to 70°), sorted by position:
| 2θ/deg | I (rel.) |
| --- | --- |
| 27.12 | 16 |
| 29.95 | 37 |
| 31.30 | 38 |
| 31.51 | 100 |
| 33.68 | 14 |
| 46.64 | 11 |
| 50.34 | 10 |
| 55.84 | 22 |
| 57.67 | 10 |
| 60.48 | 12 |

Structure:
a b c (Å): 10.7566 10.7566 10.6436
angles (deg): 90.00 90.00 149.18
Sites, in units of the cell vectors:
Pm: 0.1143 0.8857 0.5000
Pm: 0.1151 0.8849 0.0764
Pm: 0.8849 0.1151 0.5764
Pm: 0.8857 0.1143 0.0000
Nd: 0.0140 0.9860 0.7824
Nd: 0.2752 0.7248 0.0798
Nd: 0.2931 0.7069 0.4698
Nd: 0.3837 0.6163 0.7893
Nd: 0.4832 0.5168 0.5103
Nd: 0.5168 0.4832 0.0103
Nd: 0.6163 0.3837 0.2893
Nd: 0.7069 0.2931 0.9698
Nd: 0.7248 0.2752 0.5798
Nd: 0.9860 0.0140 0.2824
Dy: 0.4044 0.5956 0.2259
Dy: 0.5956 0.4044 0.7259
Th: 0.1984 0.8016 0.7770
Th: 0.8016 0.1984 0.2770

# 2
This entry pairs a crystal structure of NdMg6Zn2 with its simulated X-ray powder pattern. Radiation: Cu Ka. Structure: the PBE geometry in Alexandria.
Neutral-atom scattering factors, no anomalous dispersion.

The 10 most intense peaks (2θ from 5° to 70°), sorted by position:
| 2θ/deg | I (rel.) |
| --- | --- |
| 8.34 | 100 |
| 26.44 | 16 |
| 28.92 | 21 |
| 30.15 | 33 |
| 32.59 | 29 |
| 33.59 | 50 |
| 39.77 | 26 |
| 41.35 | 28 |
| 47.66 | 14 |
| 58.72 | 16 |

Structure:
a b c (Å): 4.3666 4.3666 10.6070
angles (deg): 90.00 90.00 90.00
Sites, in units of the cell vectors:
Nd: 0.0000 0.0000 0.0000
Mg: 0.0000 0.0000 0.5000
Mg: 0.0000 0.5000 0.2779
Mg: 0.0000 0.5000 0.7221
Mg: 0.5000 0.0000 0.2779
Mg: 0.5000 0.0000 0.7221
Mg: 0.5000 0.5000 0.5000
Zn: 0.5000 0.5000 0.1155
Zn: 0.5000 0.5000 0.8845

# 3
This entry pairs a crystal structure of Pr6Er5 with its simulated X-ray powder pattern. Radiation: Cu Ka. Structure: the PBE geometry in Alexandria.
Neutral-atom scattering factors, no anomalous dispersion.

The 10 most intense peaks (2θ from 5° to 70°), sorted by position:
| 2θ/deg | I (rel.) |
| --- | --- |
| 29.40 | 20 |
| 31.61 | 100 |
| 32.14 | 10 |
| 33.61 | 10 |
| 46.82 | 8 |
| 54.97 | 10 |
| 56.28 | 10 |
| 56.35 | 8 |
| 62.11 | 8 |
| 62.94 | 8 |

Structure:
a b c (Å): 9.4383 9.4383 5.6571
angles (deg): 107.40 107.40 115.89
Sites, in units of the cell vectors:
Pr: 0.0695 0.3493 0.7095
Pr: 0.2093 0.2093 0.2101
Pr: 0.3493 0.0695 0.7095
Pr: 0.6507 0.9305 0.2905
Pr: 0.7907 0.7907 0.7899
Pr: 0.9305 0.6507 0.2905
Er: 0.2011 0.7989 0.0000
Er: 0.3385 0.6615 0.5000
Er: 0.5000 0.5000 0.0000
Er: 0.6615 0.3385 0.5000
Er: 0.7989 0.2011 0.0000

# 4
This entry pairs a crystal structure of TbSm3Dy2P6 with its simulated X-ray powder pattern. Radiation: Cu Ka. Structure: the PBE geometry in Alexandria.
Neutral-atom scattering factors, no anomalous dispersion.

The 6 most intense peaks (2θ from 5° to 70°), sorted by position:
| 2θ/deg | I (rel.) |
| --- | --- |
| 26.89 | 85 |
| 31.14 | 100 |
| 44.62 | 73 |
| 52.87 | 42 |
| 55.42 | 26 |
| 64.95 | 12 |

Structure:
a b c (Å): 7.0338 7.0338 7.0334
angles (deg): 99.59 99.59 119.99
Sites, in units of the cell vectors:
Tb: 0.0000 0.0000 0.0000
Sm: 0.1665 0.8335 0.5000
Sm: 0.5000 0.5000 0.5000
Sm: 0.8335 0.1665 0.5000
Dy: 0.3333 0.6667 0.0000
Dy: 0.6667 0.3333 0.0000
P: 0.0814 0.4155 0.2444
P: 0.2526 0.2526 0.7557
P: 0.4155 0.0814 0.2444
P: 0.5845 0.9186 0.7556
P: 0.7474 0.7474 0.2443
P: 0.9186 0.5845 0.7556

# 5
This entry pairs a crystal structure of Ca3Al2Cu6 with its simulated X-ray powder pattern. Radiation: Cu Ka. Structure: the PBE geometry in Alexandria.
Neutral-atom scattering factors, no anomalous dispersion.

The 10 most intense peaks (2θ from 5° to 70°), sorted by position:
| 2θ/deg | I (rel.) |
| --- | --- |
| 13.47 | 34 |
| 27.14 | 9 |
| 30.41 | 8 |
| 36.16 | 33 |
| 38.75 | 8 |
| 41.21 | 100 |
| 43.55 | 10 |
| 59.69 | 11 |
| 61.50 | 14 |
| 66.76 | 9 |

Structure:
a b c (Å): 8.0494 8.0494 8.0494
angles (deg): 109.47 109.47 109.47
Sites, in units of the cell vectors:
Ca: 0.0000 0.2891 0.2891
Ca: 0.0000 0.7109 0.7109
Ca: 0.2891 0.0000 0.2891
Ca: 0.2891 0.2891 0.0000
Ca: 0.7109 0.0000 0.7109
Ca: 0.7109 0.7109 0.0000
Al: 0.0000 0.0000 0.5000
Al: 0.0000 0.5000 0.0000
Al: 0.5000 0.0000 0.0000
Al: 0.5000 0.5000 0.5000
Cu: 0.0000 0.3280 0.6720
Cu: 0.0000 0.6720 0.3280
Cu: 0.3280 0.0000 0.6720
Cu: 0.3280 0.3280 0.6561
Cu: 0.3280 0.6561 0.3280
Cu: 0.3280 0.6720 0.0000
Cu: 0.3439 0.6720 0.6720
Cu: 0.6561 0.3280 0.3280
Cu: 0.6720 0.0000 0.3280
Cu: 0.6720 0.3280 0.0000
Cu: 0.6720 0.3439 0.6720
Cu: 0.6720 0.6720 0.3439

# 6
This entry pairs a crystal structure of Pm3Nd3Y8 with its simulated X-ray powder pattern. Radiation: Cu Ka. Structure: the PBE geometry in Alexandria.
Neutral-atom scattering factors, no anomalous dispersion.

The 10 most intense peaks (2θ from 5° to 70°), sorted by position:
| 2θ/deg | I (rel.) |
| --- | --- |
| 28.62 | 20 |
| 29.15 | 23 |
| 30.37 | 28 |
| 31.17 | 48 |
| 31.59 | 100 |
| 33.03 | 47 |
| 44.08 | 20 |
| 50.80 | 13 |
| 55.73 | 20 |
| 56.59 | 14 |

Structure:
a b c (Å): 9.8221 9.8221 9.8221
angles (deg): 146.03 113.42 76.90
Sites, in units of the cell vectors:
Pm: 0.0000 0.0000 0.0000
Pm: 0.1865 0.6865 0.5000
Pm: 0.8135 0.3135 0.5000
Nd: 0.1950 0.5000 0.6950
Nd: 0.5000 0.5000 0.0000
Nd: 0.8050 0.5000 0.3050
Y: 0.1191 0.2801 0.8391
Y: 0.2366 0.8975 0.3392
Y: 0.4410 0.2801 0.1609
Y: 0.4417 0.1025 0.3392
Y: 0.5583 0.8975 0.6608
Y: 0.5590 0.7199 0.8391
Y: 0.7634 0.1025 0.6608
Y: 0.8809 0.7199 0.1609